Record 1
Pm3Dy2Y6: computed XRD peak list (Cu Ka), based on a structure optimized by DFT (PBE).
Neutral-atom scattering factors, no anomalous dispersion.

Largest 6 diffraction maxima, in order of rising 2θ, 5° ≤ 2θ ≤ 70°:
30.5 deg, I 100, (0 1 11); 30.7 deg, I 33, (0 0 33); 35.4 deg, I 67, (1 0 22); 50.9 deg, I 24, (1 1 0); 51.1 deg, I 23, (0 1 44); 60.5 deg, I 42, (2 0 11)

Lattice parameters (Å, degrees): 3.5907 3.5907 96.2276 90.00 90.00 120.00
Space group R-3m (No. 166, hexagonal axes)
Inequivalent atoms, fractional coordinates:
1 Pm 0.0000 0.0000 0.0000 x3
2 Pm 0.0000 0.0000 0.2723 x6
3 Dy 0.0000 0.0000 0.4549 x6
4 Y 0.0000 0.0000 0.0916 x6
5 Y 0.0000 0.0000 0.1818 x6
6 Y 0.0000 0.0000 0.3638 x6

Record 2
Nd2TlCuO5: computed XRD peak list (Cu Ka), based on a structure optimized by DFT (PBE).
Neutral-atom scattering factors, no anomalous dispersion.

Largest 6 diffraction maxima, in order of rising 2θ, 5° ≤ 2θ ≤ 70°:
24.1 deg, I 27, (1 1 1); 30.5 deg, I 100, (2 0 1); 31.4 deg, I 32, (0 0 2); 33.2 deg, I 37, (2 1 1); 43.4 deg, I 26, (2 1 2); 55.3 deg, I 25, (2 0 3)

Lattice parameters (Å, degrees): 6.8524 6.8524 5.6930 90.00 90.00 90.00
Space group P4/mbm (No. 127)
Inequivalent atoms, fractional coordinates:
1 Nd 0.1777 0.3223 0.0000 x4
2 Tl 0.0000 0.0000 0.5000 x2
3 Cu 0.0000 0.5000 0.5000 x2
4 O 0.0000 0.0000 0.0000 x2
5 O 0.1271 0.6271 0.2544 x8

Record 3
SrCd10Ga2: computed XRD peak list (Cu Ka), based on a structure optimized by DFT (PBE).
Neutral-atom scattering factors, no anomalous dispersion.

Largest 6 diffraction maxima, in order of rising 2θ, 5° ≤ 2θ ≤ 70°:
30.5 deg, I 42, (1 3 3); 35.2 deg, I 54, (0 4 4); 35.3 deg, I 100, (1 5 1); 35.7 deg, I 60, (2 2 2); 39.6 deg, I 41, (1 3 5); 39.9 deg, I 68, (2 0 4)

Lattice parameters (Å, degrees): 5.7851 14.4349 14.4352 90.00 90.00 90.00
Space group Fmmm (No. 69)
Inequivalent atoms, fractional coordinates:
1 Sr 0.0000 0.0000 0.0000 x4
2 Cd 0.0000 0.1092 0.3947 x16
3 Cd 0.0000 0.1784 0.1761 x16
4 Cd 0.2500 0.0000 0.2500 x8
5 Ga 0.2500 0.2500 0.0000 x8

Record 4
Ba4NaFe10As10: computed XRD peak list (Cu Ka), based on a structure optimized by DFT (PBE).
Neutral-atom scattering factors, no anomalous dispersion.

Largest 6 diffraction maxima, in order of rising 2θ, 5° ≤ 2θ ≤ 70°:
31.0 deg, I 100, (1 2 3); 32.1 deg, I 14, (3 1 0); 35.2 deg, I 32, (3 1 2); 46.1 deg, I 36, (2 4 0); 54.5 deg, I 37, (3 1 6); 56.6 deg, I 35, (5 0 3)

Lattice parameters (Å, degrees): 8.8122 8.8122 12.6847 90.00 90.00 90.00
Space group I4/m (No. 87)
Inequivalent atoms, fractional coordinates:
1 Ba 0.1079 0.6975 0.0000 x8
2 Na 0.0000 0.0000 0.5000 x2
3 Fe 0.0000 0.5000 0.2500 x4
4 Fe 0.1003 0.2001 0.2494 x16
5 As 0.0000 0.0000 0.1530 x4
6 As 0.0998 0.7019 0.3476 x16

Record 5
PaFe4P12: computed XRD peak list (Cu Ka), based on a structure optimized by DFT (PBE).
Neutral-atom scattering factors, no anomalous dispersion.

Largest 6 diffraction maxima, in order of rising 2θ, 5° ≤ 2θ ≤ 70°:
16.1 deg, I 94, (1 1 0); 28.1 deg, I 55, (2 1 1); 32.6 deg, I 89, (2 2 0); 36.6 deg, I 100, (3 1 0); 43.6 deg, I 90, (3 2 1); 58.1 deg, I 59, (4 2 2)

Lattice parameters (Å, degrees): 7.7732 7.7732 7.7732 90.00 90.00 90.00
Space group Im-3 (No. 204)
Inequivalent atoms, fractional coordinates:
1 Pa 0.0000 0.0000 0.0000 x2
2 Fe 0.2500 0.2500 0.2500 x8
3 P 0.0000 0.1514 0.3496 x24

Record 6
NdHoAu4: computed XRD peak list (Cu Ka), based on a structure optimized by DFT (PBE).
Neutral-atom scattering factors, no anomalous dispersion.

Largest 6 diffraction maxima, in order of rising 2θ, 5° ≤ 2θ ≤ 70°:
33.3 deg, I 100, (1 0 2); 37.5 deg, I 36, (0 1 3); 37.8 deg, I 36, (-1 1 1); 37.9 deg, I 71, (1 2 2); 47.7 deg, I 18, (0 1 -3); 48.0 deg, I 18, (2 1 1)

Lattice parameters (Å, degrees): 3.7904 5.2901 7.6064 69.97 75.67 69.16
Space group P-1 (No. 2)
Inequivalent atoms, fractional coordinates:
1 Nd 0.0000 0.0000 0.0000 x1
2 Ho 0.0000 0.5000 0.5000 x1
3 Au 0.3338 0.9925 0.3408 x2
4 Au 0.3388 0.5068 0.8184 x2